(1)
Starting from the PBE+U geometry in the Materials Project, the X-ray powder pattern of Li2MnCoO4 was calculated for Cu Kα.
Lines closer than 0.1° are merged.

Crystal structure
```
Li2MnCoO4
1.0
9.764 0.000 0.000
0.000 2.921 0.000
-0.956 0.000 5.110
Li Mn Co O
4 2 2 8
Cartesian
0.000 0.000 0.000 Li
-0.403 1.460 2.471 Li
4.882 1.460 0.000 Li
4.479 0.000 2.471 Li
1.762 0.000 3.787 Mn
6.643 1.460 3.787 Mn
2.237 1.460 1.234 Co
7.119 0.000 1.234 Co
0.972 0.000 2.003 O
0.565 1.460 4.325 O
3.488 0.000 0.459 O
2.959 1.460 3.260 O
5.854 1.460 2.003 O
5.447 0.000 4.325 O
7.841 0.000 3.260 O
8.370 1.460 0.459 O
```

The 10 most intense peaks (15 to 90 degrees two-theta), in order of rising 2θ:
- 18.49 deg, intensity 1000
- 35.12 deg, intensity 154
- 35.79 deg, intensity 283
- 37.50 deg, intensity 141
- 43.06 deg, intensity 265
- 43.47 deg, intensity 522
- 47.76 deg, intensity 95
- 57.52 deg, intensity 96
- 62.30 deg, intensity 145
- 63.39 deg, intensity 138


(2)
Starting from the PBE+U geometry in the Materials Project, the X-ray powder pattern of Li4MnCo3O8 was calculated for Cu Kα.
Lines closer than 0.1° are merged.

Crystal structure
```
Li4MnCo3O8
1.0
5.029 0.000 0.000
0.000 5.926 0.000
-1.659 0.000 4.868
Li Mn Co O
4 1 3 8
Cartesian
0.000 0.000 0.000 Li
0.000 2.963 0.000 Li
2.514 1.468 0.000 Li
2.514 4.458 0.000 Li
1.685 2.963 2.434 Mn
-0.830 1.468 2.434 Co
-0.830 4.458 2.434 Co
1.685 0.000 2.434 Co
0.031 0.000 3.560 O
0.087 2.963 3.524 O
0.884 1.563 1.315 O
0.884 4.363 1.315 O
2.485 1.563 3.553 O
2.485 4.363 3.553 O
3.283 2.963 1.344 O
3.338 0.000 1.308 O
```

The 10 most intense peaks (15 to 90 degrees two-theta), in order of rising 2θ:
- 18.22 deg, intensity 1000
- 35.69 deg, intensity 290
- 36.28 deg, intensity 137
- 37.34 deg, intensity 96
- 43.21 deg, intensity 522
- 43.79 deg, intensity 249
- 47.34 deg, intensity 100
- 56.95 deg, intensity 94
- 62.65 deg, intensity 213
- 63.80 deg, intensity 136


(3)
Starting from the PBE+U geometry in the Materials Project, the X-ray powder pattern of Li7Mn4CoO12 was calculated for Cu Kα.
Lines closer than 0.1° are merged.

Crystal structure
```
Li7Mn4CoO12
1.0
2.976 0.000 0.000
-1.212 4.952 0.000
-0.981 -1.933 14.908
Li Mn Co O
7 4 1 12
Cartesian
0.000 0.000 0.000 Li
-1.131 3.303 3.723 Li
0.127 2.698 1.086 Li
0.318 -0.680 8.683 Li
0.465 3.699 6.225 Li
0.656 0.321 13.823 Li
1.914 -0.284 11.186 Li
0.239 0.988 4.981 Mn
-0.809 2.503 12.513 Mn
1.592 0.516 2.395 Mn
0.544 2.031 9.928 Mn
-1.097 1.509 7.454 Co
-1.042 2.298 5.663 O
-1.116 4.296 1.947 O
0.140 1.691 3.117 O
-0.817 1.659 14.125 O
0.240 0.263 6.815 O
-0.758 3.298 10.618 O
1.541 -0.279 4.291 O
0.543 2.756 8.093 O
1.600 1.360 0.784 O
0.643 1.328 11.792 O
1.899 -1.277 12.961 O
1.825 0.721 9.245 O
```

The 10 most intense peaks (15 to 90 degrees two-theta), in order of rising 2θ:
- 18.28 deg, intensity 1000
- 34.44 deg, intensity 172
- 36.15 deg, intensity 115
- 36.51 deg, intensity 123
- 41.33 deg, intensity 342
- 44.12 deg, intensity 279
- 44.37 deg, intensity 274
- 62.27 deg, intensity 83
- 62.56 deg, intensity 82
- 64.84 deg, intensity 99


(4)
Starting from the PBE+U geometry in the Materials Project, the X-ray powder pattern of Li4MnCo3O8 was calculated for Cu Kα.
Lines closer than 0.1° are merged.

Crystal structure
```
Li4MnCo3O8
1.0
1.468 0.848 19.545
-1.468 0.848 19.545
0.000 -1.695 19.545
Li Mn Co O
4 1 3 8
Cartesian
0.000 0.000 7.195 Li
0.000 0.000 22.006 Li
0.000 0.000 36.629 Li
0.000 0.000 51.440 Li
0.000 0.000 29.317 Mn
0.000 0.000 0.000 Co
0.000 0.000 14.664 Co
0.000 0.000 43.971 Co
0.000 0.000 3.756 O
0.000 0.000 10.860 O
0.000 0.000 18.410 O
0.000 0.000 25.608 O
0.000 0.000 33.027 O
0.000 0.000 40.224 O
0.000 0.000 47.775 O
0.000 0.000 54.879 O
```

The 10 most intense peaks (15 to 90 degrees two-theta), in order of rising 2θ:
- 18.16 deg, intensity 1000
- 35.84 deg, intensity 436
- 37.43 deg, intensity 143
- 43.31 deg, intensity 791
- 47.32 deg, intensity 158
- 56.96 deg, intensity 139
- 62.47 deg, intensity 218
- 63.34 deg, intensity 216
- 66.49 deg, intensity 143
- 79.84 deg, intensity 98


Q: Number 3 is which compound?
A: Li7Mn4CoO12